# 1
This entry pairs a crystal structure of SrSb12Ru4 with its simulated X-ray powder pattern. Radiation: copper Kα. Structure: a crystal structure in Alexandria, relaxed with GGA-PBE.
Neutral-atom scattering factors, no anomalous dispersion.

Largest 12 diffraction maxima, by intensity, 10 to 90 degrees two-theta:
2theta  d [Å]  intensity
30.03  2.976  100
35.70  2.515  39
47.33  1.921  30
42.99  2.104  28
49.39  1.845  28
67.51  1.387  18
88.09  1.109  15
57.07  1.614  12
89.63  1.094  9
77.21  1.236  9
45.20  2.006  7
58.89  1.568  7

Structure:
```
SrSb12Ru4
1.0
-4.7047 4.7047 4.7047
4.7047 -4.7047 4.7047
4.7047 4.7047 -4.7047
Sr Sb Ru
1 12 4
direct
0.0000 0.0000 0.0000
0.1593 0.5020 0.3427
0.1593 0.8166 0.6573
0.1834 0.3427 0.8407
0.3427 0.1593 0.5020
0.3427 0.8407 0.1834
0.4980 0.6573 0.8407
0.5020 0.3427 0.1593
0.6573 0.1593 0.8166
0.6573 0.8407 0.4980
0.8166 0.6573 0.1593
0.8407 0.1834 0.3427
0.8407 0.4980 0.6573
0.0000 0.0000 0.5000
0.0000 0.5000 0.0000
0.5000 0.0000 0.0000
0.5000 0.5000 0.5000
```



# 2
This entry pairs a crystal structure of NbCuAu with its simulated X-ray powder pattern. Radiation: copper Kα. Structure: a crystal structure in Alexandria, relaxed with GGA-PBE.
Neutral-atom scattering factors, no anomalous dispersion.

Largest 12 diffraction maxima, by intensity, 10 to 90 degrees two-theta:
2theta  d [Å]  intensity
38.99  2.310  100
44.54  2.034  35
78.30  1.221  26
32.05  2.793  20
15.24  5.814  19
66.65  1.403  19
64.82  1.438  17
46.88  1.938  14
83.74  1.155  10
81.70  1.179  10
30.76  2.907  8
55.10  1.667  7

Structure:
```
NbCuAu
1.0
-1.4383 1.4383 5.8143
1.4383 -1.4383 5.8143
1.4383 1.4383 -5.8143
Nb Cu Au
1 1 1
direct
0.0000 0.0000 0.0000
0.6574 0.6574 0.0000
0.3158 0.3158 0.0000
```



# 3
This entry pairs a crystal structure of Pr2Dy7Tm4 with its simulated X-ray powder pattern. Radiation: copper Kα. Structure: a crystal structure in Alexandria, relaxed with GGA-PBE.
Neutral-atom scattering factors, no anomalous dispersion.

Largest 12 diffraction maxima, by intensity, 10 to 90 degrees two-theta:
2theta  d [Å]  intensity
32.46  2.758  100
30.23  2.957  47
35.91  2.501  30
52.24  1.751  30
26.90  3.314  21
62.88  1.478  17
51.15  1.786  17
29.45  3.033  15
31.93  2.803  14
59.72  1.548  13
33.81  2.651  13
64.03  1.454  12

Structure:
```
Pr2Dy7Tm4
1.0
6.0662 0.0000 0.0000
-3.0331 5.2534 0.0000
0.0000 0.0000 13.2563
Pr Dy Tm
2 7 4
direct
0.3333 0.6667 0.0000
0.6667 0.3333 0.0000
0.0000 0.0000 0.0000
0.0000 0.3552 0.2196
0.0000 0.6448 0.7804
0.3552 0.0000 0.2196
0.3552 0.3552 0.7804
0.6448 0.0000 0.7804
0.6448 0.6448 0.2196
0.0000 0.0000 0.3954
0.0000 0.0000 0.6046
0.3333 0.6667 0.5000
0.6667 0.3333 0.5000
```



# 4
This entry pairs a crystal structure of SrInBiH with its simulated X-ray powder pattern. Radiation: copper Kα. Structure: a crystal structure in Alexandria, relaxed with GGA-PBE.
Neutral-atom scattering factors, no anomalous dispersion.

Largest 12 diffraction maxima, by intensity, 10 to 90 degrees two-theta:
2theta  d [Å]  intensity
32.85  2.726  100
38.87  2.317  70
33.48  2.676  66
21.20  4.191  62
26.43  3.372  38
52.23  1.751  38
28.72  3.108  34
27.22  3.276  29
66.60  1.404  27
56.15  1.638  19
44.70  2.027  19
63.47  1.466  18

Structure:
```
SrInBiH
1.0
4.6331 0.0000 0.0000
0.0000 4.6331 0.0000
0.0000 0.0000 9.8353
Sr In Bi H
2 2 2 2
direct
0.2500 0.2500 0.1187
0.7500 0.7500 0.8813
0.2500 0.7500 0.5000
0.7500 0.2500 0.5000
0.2500 0.2500 0.7276
0.7500 0.7500 0.2724
0.2500 0.7500 0.0000
0.7500 0.2500 0.0000
```



# 5
This entry pairs a crystal structure of Tb12BiIr6 with its simulated X-ray powder pattern. Radiation: copper Kα. Structure: a crystal structure in Alexandria, relaxed with GGA-PBE.
Neutral-atom scattering factors, no anomalous dispersion.

Largest 12 diffraction maxima, by intensity, 10 to 90 degrees two-theta:
2theta  d [Å]  intensity
33.41  2.682  100
46.12  1.968  36
30.86  2.897  26
56.52  1.628  22
65.80  1.419  17
82.72  1.167  17
35.79  2.509  16
17.67  5.018  15
54.89  1.673  15
53.22  1.721  14
38.04  2.366  12
81.35  1.183  12

Structure:
```
Tb12BiIr6
1.0
-5.0182 5.0182 5.0182
5.0182 -5.0182 5.0182
5.0182 5.0182 -5.0182
Tb Bi Ir
12 1 6
direct
0.1086 0.8058 0.3028
0.1942 0.3028 0.4970
0.1942 0.6972 0.8914
0.3028 0.1086 0.8058
0.3028 0.4970 0.1942
0.4970 0.1942 0.3028
0.5030 0.8058 0.6972
0.6972 0.5030 0.8058
0.6972 0.8914 0.1942
0.8058 0.3028 0.1086
0.8058 0.6972 0.5030
0.8914 0.1942 0.6972
0.0000 0.0000 0.0000
0.1256 0.6256 0.5000
0.3744 0.5000 0.8744
0.5000 0.1256 0.6256
0.5000 0.8744 0.3744
0.6256 0.5000 0.1256
0.8744 0.3744 0.5000
```



# 6
This entry pairs a crystal structure of RbPrDy4Se8 with its simulated X-ray powder pattern. Radiation: copper Kα. Structure: a crystal structure in Alexandria, relaxed with GGA-PBE.
Neutral-atom scattering factors, no anomalous dispersion.

Largest 12 diffraction maxima, by intensity, 10 to 90 degrees two-theta:
2theta  d [Å]  intensity
29.04  3.075  100
41.94  2.154  81
41.12  2.195  80
24.04  3.702  72
24.21  3.677  37
38.04  2.365  37
23.70  3.754  33
37.71  2.386  31
12.54  7.057  28
38.26  2.352  25
60.19  1.537  24
76.06  1.251  24

Structure:
```
RbPrDy4Se8
1.0
4.3078 2.4871 7.2400
-4.3078 2.4871 7.2400
0.0000 -4.9743 7.2400
Rb Pr Dy Se
1 1 4 8
direct
0.0000 0.0000 0.0000
0.3637 0.3637 0.3637
0.3651 0.3651 0.8819
0.3651 0.8819 0.3651
0.7431 0.7431 0.7431
0.8819 0.3651 0.3651
0.1290 0.1290 0.5695
0.1290 0.5695 0.1290
0.1376 0.6160 0.6160
0.1390 0.1390 0.1390
0.5695 0.1290 0.1290
0.6120 0.6120 0.6120
0.6160 0.1376 0.6160
0.6160 0.6160 0.1376
```



# 7
This entry pairs a crystal structure of Ti2V2GaS8 with its simulated X-ray powder pattern. Radiation: copper Kα. Structure: a crystal structure in Alexandria, relaxed with GGA-PBE.
Neutral-atom scattering factors, no anomalous dispersion.

Largest 12 diffraction maxima, by intensity, 10 to 90 degrees two-theta:
2theta  d [Å]  intensity
52.16  1.753  100
29.86  2.992  72
36.31  2.474  69
47.74  1.905  42
15.48  5.724  40
17.90  4.956  38
29.96  2.982  37
36.14  2.485  34
25.40  3.507  23
47.55  1.912  22
52.40  1.746  20
31.27  2.861  18

Structure:
```
Ti2V2GaS8
1.0
-3.4921 3.5067 4.9706
3.4921 -3.5067 4.9706
3.4921 3.5067 -4.9706
Ti V Ga S
2 2 1 8
direct
0.2271 0.0000 0.2271
0.7729 0.0000 0.7729
0.7821 0.5648 0.7826
0.7821 0.9995 0.2174
0.3884 0.3884 0.0000
0.0191 0.2678 0.2486
0.0191 0.7653 0.2538
0.0191 0.7705 0.7514
0.5115 0.7653 0.7462
0.5302 0.2679 0.7377
0.5302 0.7925 0.2623
0.5356 0.2597 0.2759
0.9838 0.2597 0.7241
```



# 8
This entry pairs a crystal structure of LaTbGaHg with its simulated X-ray powder pattern. Radiation: copper Kα. Structure: a crystal structure in Alexandria, relaxed with GGA-PBE.
Neutral-atom scattering factors, no anomalous dispersion.

Largest 11 diffraction maxima, by intensity, 10 to 90 degrees two-theta:
2theta  d [Å]  intensity
33.58  2.668  100
60.05  1.541  38
48.23  1.887  18
80.48  1.193  16
70.59  1.334  12
20.38  4.357  11
39.60  2.276  7
52.88  1.731  3
74.36  1.276  2
64.11  1.452  2
84.10  1.151  1

Structure:
```
LaTbGaHg
1.0
0.0000 3.7737 3.7737
3.7737 0.0000 3.7737
3.7737 3.7737 0.0000
La Tb Ga Hg
1 1 1 1
direct
0.0000 0.0000 0.0000
0.5000 0.5000 0.5000
0.2500 0.2500 0.2500
0.7500 0.7500 0.7500
```